This entry pairs a crystal structure of U3Fe3B8 with its simulated powder diffractogram. Radiation: Cu Ka. Structure: a structure optimized by DFT (GGA-PBE).
Intensities are scaled so that the largest is 1000.

Main lines, sorted by position (10° ≤ 2θ ≤ 80°):
d/Å  2θ (°)  I/Imax
4.537  19.56  1000
3.098  28.82  427
3.030  29.47  940
2.472  36.34  273
2.301  39.14  239
2.269  39.73  357
2.229  40.48  322
2.203  40.97  326
2.171  41.61  227
2.052  44.12  733
1.915  47.47  299
1.244  76.61  217

Structural model:
```
14
Lattice="-1.6075 4.5373 4.9438 1.6075 -4.5373 4.9438 1.6075 4.5373 -4.9438" Properties=species:S:1:pos:R:3 pbc="T T T"
U 0.0000 0.0000 0.0000
U 0.0000 0.0000 2.8378
U 0.0000 0.0000 7.0497
Fe 1.6075 2.6679 0.0000
Fe 0.0000 4.5373 0.0000
Fe 0.0000 1.8694 4.9438
B 1.6075 1.7050 -1.7192
B 1.6075 -2.0656 3.5797
B 1.6075 1.7050 1.7192
B 0.0000 2.4717 1.3640
B 1.6075 2.0656 3.5797
B 0.0000 2.8323 3.2245
B 0.0000 6.6029 1.3640
B 0.0000 2.8323 6.6630
```